(1)
For CaSbAsO5, a DFT-relaxed cell (GGA-PBE, the Materials Project) gives the calculated XRD peak list in this record (a wavelength of 1.5418 Å).

Most intense lines, 2θ from 15° to 90°, low angle first:
| 2theta | I_rel |
| --- | --- |
| 15.28 | 93 |
| 15.85 | 34 |
| 23.59 | 30 |
| 24.92 | 42 |
| 26.75 | 32 |
| 28.73 | 100 |
| 30.83 | 48 |
| 32.02 | 44 |
| 33.23 | 94 |
| 33.37 | 41 |

Crystal structure
Unit cell a=7.359 b=7.857 c=8.598 alpha=90.00 beta=90.00 gamma=90.00
Space group P2_12_12_1 (No. 19)
Unique sites:
Ca1 0.009 0.142 0.106 (multiplicity 4)
Sb1 0.211 0.242 0.455 (multiplicity 4)
As1 0.042 0.417 0.798 (multiplicity 4)
O1 0.038 0.346 0.314 (multiplicity 4)
O2 0.063 0.606 0.905 (multiplicity 4)
O3 0.125 0.451 0.611 (multiplicity 4)
O4 0.171 0.271 0.895 (multiplicity 4)
O5 0.186 0.876 0.706 (multiplicity 4)

***

(2)
For CaSnAsO5, a DFT-relaxed cell (GGA-PBE, the Materials Project) gives the calculated XRD peak list in this record (a wavelength of 1.5418 Å).

Most intense lines, 2θ from 15° to 90°, low angle first:
| 2theta | I_rel |
| --- | --- |
| 15.45 | 94 |
| 22.51 | 79 |
| 26.73 | 62 |
| 29.27 | 100 |
| 31.21 | 40 |
| 31.83 | 40 |
| 31.94 | 76 |
| 32.74 | 59 |
| 34.50 | 71 |
| 36.77 | 37 |

Crystal structure
Unit cell a=7.956 b=6.223 c=9.510 alpha=90.00 beta=96.80 gamma=90.00
Space group P2_1 (No. 4)
Unique sites:
Ca1 0.061 0.000 0.359 (multiplicity 2)
Ca2 0.401 0.481 0.823 (multiplicity 2)
Sn1 0.011 0.713 0.010 (multiplicity 2)
Sn2 0.493 0.757 0.503 (multiplicity 2)
As1 0.170 0.945 0.713 (multiplicity 2)
As2 0.388 0.515 0.171 (multiplicity 2)
O1 0.012 0.862 0.578 (multiplicity 2)
O2 0.073 0.193 0.787 (multiplicity 2)
O3 0.133 0.703 0.826 (multiplicity 2)
O4 0.138 0.977 0.080 (multiplicity 2)
O5 0.193 0.458 0.071 (multiplicity 2)
O6 0.332 0.021 0.498 (multiplicity 2)
O7 0.359 0.493 0.570 (multiplicity 2)
O8 0.371 0.722 0.288 (multiplicity 2)
O9 0.448 0.278 0.256 (multiplicity 2)
O10 0.488 0.117 0.949 (multiplicity 2)

***

(3)
For CaSnAs2O7, a DFT-relaxed cell (GGA-PBE, the Materials Project) gives the calculated XRD peak list in this record (a wavelength of 1.5418 Å).

Most intense lines, 2θ from 15° to 90°, low angle first:
| 2theta | I_rel |
| --- | --- |
| 21.22 | 27 |
| 25.99 | 45 |
| 26.23 | 100 |
| 27.78 | 45 |
| 29.37 | 15 |
| 30.98 | 22 |
| 31.45 | 56 |
| 48.54 | 12 |
| 51.06 | 15 |
| 54.81 | 12 |

Crystal structure
Unit cell a=7.911 b=9.473 c=9.973 alpha=90.00 beta=115.95 gamma=90.00
Space group P2_1/c (No. 14)
Unique sites:
Ca1 0.236 0.054 0.077 (multiplicity 4)
Sn1 0.261 0.048 0.644 (multiplicity 4)
As1 0.085 0.744 0.775 (multiplicity 4)
As2 0.496 0.724 0.059 (multiplicity 4)
O1 0.064 0.641 0.628 (multiplicity 4)
O2 0.114 0.244 0.696 (multiplicity 4)
O3 0.169 0.587 0.294 (multiplicity 4)
O4 0.265 0.662 0.938 (multiplicity 4)
O5 0.375 0.241 0.538 (multiplicity 4)
O6 0.455 0.087 0.320 (multiplicity 4)
O7 0.490 0.615 0.638 (multiplicity 4)